Entry 1:
# Bi2Pd
Calculated powder XRD pattern, Cu Kα (weighted mean of Kα1 and Kα2). Input: DFT lattice parameters and positions (PBE).
No peak broadening, texture or thermal motion is included.

Cell and atoms:
```
data_Bi2Pd
_chemical_formula_sum 'Bi8 Pd4'
_cell_length_a 12.9381
_cell_length_b 4.3402
_cell_length_c 5.7283
_cell_angle_alpha 90.00
_cell_angle_beta 102.64
_cell_angle_gamma 90.00
_space_group_name_H-M_alt 'C 1 2/m 1'
_space_group_IT_number 12
loop_
_space_group_symop_operation_xyz
'x,y,z'
'-x,-y,-z'
'-x,y,-z'
'x,-y,z'
'x+1/2,y+1/2,z'
'-x+1/2,-y+1/2,-z'
'-x+1/2,y+1/2,-z'
'x+1/2,-y+1/2,z'
loop_
_atom_site_label
_atom_site_fract_x
_atom_site_fract_y
_atom_site_fract_z
Bi1 0.0752 0.0000 0.2951
Bi2 0.1561 0.5000 0.8158
Pd1 0.2253 0.5000 0.3301
```

The 6 most intense peaks (2θ from 5° to 70°), sorted by position:
| Position (°2θ) | Rel. int. | h k l |
| --- | --- | --- |
| 27.9 | 58 | 1 1 1 |
| 29.6 | 69 | 3 1 0 |
| 31.4 | 100 | 3 1 -1 |
| 32.0 | 71 | 0 0 2 |
| 40.4 | 67 | 3 1 -2 |
| 41.6 | 47 | 0 2 0 |



Entry 2:
# PmBiPd2
Calculated powder XRD pattern, Cu Kα (weighted mean of Kα1 and Kα2). Input: DFT lattice parameters and positions (PBE).
No peak broadening, texture or thermal motion is included.

Cell and atoms:
```
data_PmBiPd2
_chemical_formula_sum 'Pm4 Bi4 Pd8'
_cell_length_a 7.0412
_cell_length_b 7.0412
_cell_length_c 7.0412
_cell_angle_alpha 90.00
_cell_angle_beta 90.00
_cell_angle_gamma 90.00
_space_group_name_H-M_alt 'F m -3 m'
_space_group_IT_number 225
_space_group_name_Hall '-F 4 2 3'
loop_
_atom_site_label
_atom_site_fract_x
_atom_site_fract_y
_atom_site_fract_z
Pm1 0.0000 0.0000 0.0000
Bi1 0.0000 0.0000 0.5000
Pd1 0.2500 0.2500 0.2500
```

The 6 most intense peaks (2θ from 5° to 70°), sorted by position:
| Position (°2θ) | Rel. int. | h k l |
| --- | --- | --- |
| 21.9 | 2 | 1 1 1 |
| 25.3 | 7 | 2 0 0 |
| 36.1 | 100 | 2 2 0 |
| 51.9 | 18 | 4 0 0 |
| 58.6 | 3 | 4 2 0 |
| 64.9 | 36 | 4 2 2 |



Entry 3:
# PrBiPd2
Calculated powder XRD pattern, Cu Kα (weighted mean of Kα1 and Kα2). Input: DFT lattice parameters and positions (PBE).
No peak broadening, texture or thermal motion is included.

Cell and atoms:
```
data_PrBiPd2
_chemical_formula_sum 'Pr4 Bi4 Pd8'
_cell_length_a 7.0996
_cell_length_b 7.0996
_cell_length_c 7.0996
_cell_angle_alpha 90.00
_cell_angle_beta 90.00
_cell_angle_gamma 90.00
_space_group_name_H-M_alt 'F m -3 m'
_space_group_IT_number 225
_space_group_name_Hall '-F 4 2 3'
loop_
_atom_site_label
_atom_site_fract_x
_atom_site_fract_y
_atom_site_fract_z
Pr1 0.0000 0.0000 0.0000
Bi1 0.0000 0.0000 0.5000
Pd1 0.2500 0.2500 0.2500
```

The 6 most intense peaks (2θ from 5° to 70°), sorted by position:
| Position (°2θ) | Rel. int. | h k l |
| --- | --- | --- |
| 21.7 | 3 | 1 1 1 |
| 25.1 | 6 | 2 0 0 |
| 35.8 | 100 | 2 2 0 |
| 51.5 | 18 | 4 0 0 |
| 58.1 | 3 | 4 2 0 |
| 64.3 | 36 | 4 2 2 |



Entry 4:
# PrBiPd
Calculated powder XRD pattern, Cu Kα (weighted mean of Kα1 and Kα2). Input: DFT lattice parameters and positions (PBE).
No peak broadening, texture or thermal motion is included.

Cell and atoms:
```
data_PrBiPd
_chemical_formula_sum 'Pr4 Bi4 Pd4'
_cell_length_a 6.9015
_cell_length_b 6.9015
_cell_length_c 6.9015
_cell_angle_alpha 90.00
_cell_angle_beta 90.00
_cell_angle_gamma 90.00
_space_group_name_H-M_alt 'F -4 3 m'
_space_group_IT_number 216
_space_group_name_Hall 'F -4 2 3'
loop_
_atom_site_label
_atom_site_fract_x
_atom_site_fract_y
_atom_site_fract_z
Pr1 0.0000 0.0000 0.0000
Bi1 0.0000 0.0000 0.5000
Pd1 0.2500 0.2500 0.2500
```

The 6 most intense peaks (2θ from 5° to 70°), sorted by position:
| Position (°2θ) | Rel. int. | h k l |
| --- | --- | --- |
| 22.3 | 18 | 1 1 1 |
| 25.8 | 34 | 2 0 0 |
| 36.8 | 100 | 2 2 0 |
| 53.1 | 18 | 4 0 0 |
| 59.9 | 14 | 4 2 0 |
| 66.4 | 36 | 4 2 2 |



Entry 5:
# PuBiPd2
Calculated powder XRD pattern, Cu Kα (weighted mean of Kα1 and Kα2). Input: DFT lattice parameters and positions (PBE).
No peak broadening, texture or thermal motion is included.

Cell and atoms:
```
data_PuBiPd2
_chemical_formula_sum 'Pu4 Bi4 Pd8'
_cell_length_a 6.9253
_cell_length_b 6.9253
_cell_length_c 6.9253
_cell_angle_alpha 90.00
_cell_angle_beta 90.00
_cell_angle_gamma 90.00
_space_group_name_H-M_alt 'F m -3 m'
_space_group_IT_number 225
_space_group_name_Hall '-F 4 2 3'
loop_
_atom_site_label
_atom_site_fract_x
_atom_site_fract_y
_atom_site_fract_z
Pu1 0.0000 0.0000 0.0000
Bi1 0.0000 0.0000 0.5000
Pd1 0.2500 0.2500 0.2500
```

The 6 most intense peaks (2θ from 5° to 70°), sorted by position:
| Position (°2θ) | Rel. int. | h k l |
| --- | --- | --- |
| 25.7 | 14 | 2 0 0 |
| 36.7 | 100 | 2 2 0 |
| 45.4 | 4 | 2 2 2 |
| 52.9 | 18 | 4 0 0 |
| 59.7 | 6 | 4 2 0 |
| 66.1 | 37 | 4 2 2 |



Entry 6:
# BiPdSe
Calculated powder XRD pattern, Cu Kα (weighted mean of Kα1 and Kα2). Input: DFT lattice parameters and positions (PBE).
No peak broadening, texture or thermal motion is included.

Cell and atoms:
```
data_BiPdSe
_chemical_formula_sum 'Bi4 Pd4 Se4'
_cell_length_a 6.5369
_cell_length_b 6.5369
_cell_length_c 6.5369
_cell_angle_alpha 90.00
_cell_angle_beta 90.00
_cell_angle_gamma 90.00
_space_group_name_H-M_alt 'P 21 3'
_space_group_IT_number 198
_space_group_name_Hall 'P 2ac 2ab 3'
loop_
_atom_site_label
_atom_site_fract_x
_atom_site_fract_y
_atom_site_fract_z
Bi1 0.1258 0.3742 0.6258
Pd1 0.0099 0.9901 0.4901
Se1 0.1219 0.1219 0.1219
```

The 6 most intense peaks (2θ from 5° to 70°), sorted by position:
| Position (°2θ) | Rel. int. | h k l |
| --- | --- | --- |
| 30.6 | 100 | 2 1 0 |
| 33.6 | 64 | 2 1 1 |
| 46.1 | 57 | 3 1 1 |
| 50.3 | 24 | 3 0 2 |
| 52.4 | 37 | 3 2 1 |
| 65.4 | 22 | 4 2 1 |



Entry 7:
# Sr2Bi3Pd3
Calculated powder XRD pattern, Cu Kα (weighted mean of Kα1 and Kα2). Input: DFT lattice parameters and positions (PBE).
No peak broadening, texture or thermal motion is included.

Cell and atoms:
```
data_Sr2Bi3Pd3
_chemical_formula_sum 'Sr2 Bi3 Pd3'
_cell_length_a 6.6940
_cell_length_b 6.6940
_cell_length_c 21.8895
_cell_angle_alpha 90.00
_cell_angle_beta 90.00
_cell_angle_gamma 90.00
_space_group_name_H-M_alt 'P 4/m m m'
_space_group_IT_number 123
_space_group_name_Hall '-P 4 2'
loop_
_atom_site_label
_atom_site_fract_x
_atom_site_fract_y
_atom_site_fract_z
Sr1 0.0000 0.0000 0.2372
Bi1 0.0000 0.0000 0.0000
Bi2 0.0000 0.0000 0.3856
Pd1 0.0000 0.0000 0.1208
Pd2 0.0000 0.0000 0.5000
```

The 6 most intense peaks (2θ from 5° to 70°), sorted by position:
| Position (°2θ) | Rel. int. | h k l |
| --- | --- | --- |
| 13.2 | 100 | 1 0 0 |
| 18.7 | 46 | 1 1 0 |
| 26.6 | 20 | 2 0 0 |
| 29.8 | 30 | 2 1 0 |
| 38.0 | 21 | 2 2 0 |
| 42.7 | 21 | 3 1 0 |



Entry 8:
# SrBi2Pd2
Calculated powder XRD pattern, Cu Kα (weighted mean of Kα1 and Kα2). Input: DFT lattice parameters and positions (PBE).
No peak broadening, texture or thermal motion is included.

Cell and atoms:
```
data_SrBi2Pd2
_chemical_formula_sum 'Sr2 Bi4 Pd4'
_cell_length_a 4.9278
_cell_length_b 4.9278
_cell_length_c 10.8522
_cell_angle_alpha 90.00
_cell_angle_beta 90.00
_cell_angle_gamma 90.00
_space_group_name_H-M_alt 'P 4/n m m'
_space_group_IT_number 129
loop_
_space_group_symop_operation_xyz
'x,y,z'
'-x,-y,-z'
'-y+1/2,x,z'
'y+1/2,-x,-z'
'-x+1/2,-y+1/2,z'
'x+1/2,y+1/2,-z'
'y,-x+1/2,z'
'-y,x+1/2,-z'
'x+1/2,-y,-z'
'-x+1/2,y,z'
'-y,-x,-z'
'y,x,z'
'-x,y+1/2,-z'
'x,-y+1/2,z'
'y+1/2,x+1/2,-z'
'-y+1/2,-x+1/2,z'
loop_
_atom_site_label
_atom_site_fract_x
_atom_site_fract_y
_atom_site_fract_z
Sr1 0.2500 0.2500 0.2396
Bi1 0.2500 0.2500 0.8791
Bi2 0.2500 0.7500 0.5000
Pd1 0.2500 0.2500 0.6274
Pd2 0.2500 0.7500 0.0000
```

The 6 most intense peaks (2θ from 5° to 70°), sorted by position:
| Position (°2θ) | Rel. int. | h k l |
| --- | --- | --- |
| 16.3 | 38 | 0 0 2 |
| 30.5 | 97 | 1 1 2 |
| 30.7 | 62 | 1 0 3 |
| 36.5 | 100 | 2 0 0 |
| 42.2 | 77 | 1 1 4 |
| 69.6 | 36 | 3 1 4 |



Entry 9:
# SrBi2Pd2
Calculated powder XRD pattern, Cu Kα (weighted mean of Kα1 and Kα2). Input: DFT lattice parameters and positions (PBE).
No peak broadening, texture or thermal motion is included.

Cell and atoms:
```
data_SrBi2Pd2
_chemical_formula_sum 'Sr2 Bi4 Pd4'
_cell_length_a 4.9566
_cell_length_b 4.8489
_cell_length_c 10.9489
_cell_angle_alpha 90.00
_cell_angle_beta 92.19
_cell_angle_gamma 90.00
_space_group_name_H-M_alt 'P 1 21/m 1'
_space_group_IT_number 11
loop_
_space_group_symop_operation_xyz
'x,y,z'
'-x,-y,-z'
'-x,y+1/2,-z'
'x,-y+1/2,z'
loop_
_atom_site_label
_atom_site_fract_x
_atom_site_fract_y
_atom_site_fract_z
Sr1 0.2402 0.2500 0.2367
Bi1 0.2499 0.7500 0.4984
Bi2 0.2911 0.2500 0.8805
Pd1 0.1907 0.7500 0.0000
Pd2 0.2582 0.2500 0.6304
```

The 6 most intense peaks (2θ from 5° to 70°), sorted by position:
| Position (°2θ) | Rel. int. | h k l |
| --- | --- | --- |
| 16.2 | 63 | 0 0 2 |
| 30.2 | 100 | 1 1 -2 |
| 30.9 | 91 | 1 0 3 |
| 36.3 | 73 | 2 0 0 |
| 37.1 | 79 | 0 2 0 |
| 41.5 | 79 | 1 1 -4 |



Entry 10:
# Tb5BiPd2
Calculated powder XRD pattern, Cu Kα (weighted mean of Kα1 and Kα2). Input: DFT lattice parameters and positions (PBE).
No peak broadening, texture or thermal motion is included.

Cell and atoms:
```
data_Tb5BiPd2
_chemical_formula_sum 'Tb20 Bi4 Pd8'
_cell_length_a 7.8812
_cell_length_b 7.8812
_cell_length_c 13.7518
_cell_angle_alpha 90.00
_cell_angle_beta 90.00
_cell_angle_gamma 90.00
_space_group_name_H-M_alt 'I 4/m c m'
_space_group_IT_number 140
_space_group_name_Hall '-I 4 2c'
loop_
_atom_site_label
_atom_site_fract_x
_atom_site_fract_y
_atom_site_fract_z
Tb1 0.0000 0.0000 0.0000
Tb2 0.1554 0.3446 0.1398
Bi1 0.0000 0.0000 0.2500
Pd1 0.1358 0.3642 0.5000
```

The 6 most intense peaks (2θ from 5° to 70°), sorted by position:
| Position (°2θ) | Rel. int. | h k l |
| --- | --- | --- |
| 30.6 | 29 | 1 1 4 |
| 32.0 | 100 | 2 1 3 |
| 34.6 | 32 | 2 0 4 |
| 36.0 | 63 | 3 1 0 |
| 51.9 | 19 | 4 2 0 |
| 67.2 | 21 | 4 4 0 |



Entry 11:
# TmBiPd
Calculated powder XRD pattern, Cu Kα (weighted mean of Kα1 and Kα2). Input: DFT lattice parameters and positions (PBE).
No peak broadening, texture or thermal motion is included.

Cell and atoms:
```
data_TmBiPd
_chemical_formula_sum 'Tm4 Bi4 Pd4'
_cell_length_a 6.6843
_cell_length_b 6.6843
_cell_length_c 6.6843
_cell_angle_alpha 90.00
_cell_angle_beta 90.00
_cell_angle_gamma 90.00
_space_group_name_H-M_alt 'F -4 3 m'
_space_group_IT_number 216
_space_group_name_Hall 'F -4 2 3'
loop_
_atom_site_label
_atom_site_fract_x
_atom_site_fract_y
_atom_site_fract_z
Tm1 0.0000 0.0000 0.0000
Bi1 0.0000 0.0000 0.5000
Pd1 0.2500 0.2500 0.2500
```

The 6 most intense peaks (2θ from 5° to 70°), sorted by position:
| Position (°2θ) | Rel. int. | h k l |
| --- | --- | --- |
| 23.0 | 14 | 1 1 1 |
| 26.7 | 38 | 2 0 0 |
| 38.1 | 100 | 2 2 0 |
| 54.9 | 17 | 4 0 0 |
| 62.1 | 15 | 4 2 0 |
| 68.8 | 36 | 4 2 2 |



Entry 12:
# TmBiPd2
Calculated powder XRD pattern, Cu Kα (weighted mean of Kα1 and Kα2). Input: DFT lattice parameters and positions (PBE).
No peak broadening, texture or thermal motion is included.

Cell and atoms:
```
data_TmBiPd2
_chemical_formula_sum 'Tm4 Bi4 Pd8'
_cell_length_a 6.9032
_cell_length_b 6.9032
_cell_length_c 6.9032
_cell_angle_alpha 90.00
_cell_angle_beta 90.00
_cell_angle_gamma 90.00
_space_group_name_H-M_alt 'F m -3 m'
_space_group_IT_number 225
_space_group_name_Hall '-F 4 2 3'
loop_
_atom_site_label
_atom_site_fract_x
_atom_site_fract_y
_atom_site_fract_z
Tm1 0.0000 0.0000 0.0000
Bi1 0.0000 0.0000 0.5000
Pd1 0.2500 0.2500 0.2500
```

The 6 most intense peaks (2θ from 5° to 70°), sorted by position:
| Position (°2θ) | Rel. int. | h k l |
| --- | --- | --- |
| 25.8 | 9 | 2 0 0 |
| 36.8 | 100 | 2 2 0 |
| 45.5 | 3 | 2 2 2 |
| 53.1 | 18 | 4 0 0 |
| 59.9 | 4 | 4 2 0 |
| 66.3 | 36 | 4 2 2 |



Entry 13:
# Y5BiPd2
Calculated powder XRD pattern, Cu Kα (weighted mean of Kα1 and Kα2). Input: DFT lattice parameters and positions (PBE).
No peak broadening, texture or thermal motion is included.

Cell and atoms:
```
data_Y5BiPd2
_chemical_formula_sum 'Y20 Bi4 Pd8'
_cell_length_a 7.8435
_cell_length_b 7.8435
_cell_length_c 13.8838
_cell_angle_alpha 90.00
_cell_angle_beta 90.00
_cell_angle_gamma 90.00
_space_group_name_H-M_alt 'I 4/m c m'
_space_group_IT_number 140
_space_group_name_Hall '-I 4 2c'
loop_
_atom_site_label
_atom_site_fract_x
_atom_site_fract_y
_atom_site_fract_z
Y1 0.0000 0.0000 0.0000
Y2 0.1542 0.3458 0.1409
Bi1 0.0000 0.0000 0.2500
Pd1 0.1375 0.3625 0.5000
```

The 6 most intense peaks (2θ from 5° to 70°), sorted by position:
| Position (°2θ) | Rel. int. | h k l |
| --- | --- | --- |
| 20.5 | 29 | 1 1 2 |
| 30.4 | 33 | 1 1 4 |
| 32.0 | 100 | 2 1 3 |
| 34.5 | 36 | 2 0 4 |
| 36.2 | 81 | 3 1 0 |
| 65.7 | 23 | 3 1 8 |



Entry 14:
# PmBi3
Calculated powder XRD pattern, Cu Kα (weighted mean of Kα1 and Kα2). Input: DFT lattice parameters and positions (PBE).
No peak broadening, texture or thermal motion is included.

Cell and atoms:
```
data_PmBi3
_chemical_formula_sum 'Pm2 Bi6'
_cell_length_a 6.8335
_cell_length_b 6.8335
_cell_length_c 6.2099
_cell_angle_alpha 90.00
_cell_angle_beta 90.00
_cell_angle_gamma 120.00
_space_group_name_H-M_alt 'P 63/m m c'
_space_group_IT_number 194
_space_group_name_Hall '-P 6c 2c'
loop_
_atom_site_label
_atom_site_fract_x
_atom_site_fract_y
_atom_site_fract_z
Pm1 0.3333 0.6667 0.2500
Bi1 0.1730 0.3460 0.7500
```

The 6 most intense peaks (2θ from 5° to 70°), sorted by position:
| Position (°2θ) | Rel. int. | h k l |
| --- | --- | --- |
| 28.8 | 33 | 0 0 2 |
| 30.2 | 22 | 2 0 0 |
| 33.5 | 100 | 2 0 1 |
| 42.2 | 18 | 2 0 2 |
| 54.1 | 26 | 2 0 3 |
| 62.0 | 23 | 2 2 2 |



Entry 15:
# PmBi3
Calculated powder XRD pattern, Cu Kα (weighted mean of Kα1 and Kα2). Input: DFT lattice parameters and positions (PBE).
No peak broadening, texture or thermal motion is included.

Cell and atoms:
```
data_PmBi3
_chemical_formula_sum 'Pm2 Bi6'
_cell_length_a 4.7230
_cell_length_b 4.7230
_cell_length_c 11.1303
_cell_angle_alpha 90.00
_cell_angle_beta 90.00
_cell_angle_gamma 90.00
_space_group_name_H-M_alt 'I 4/m m m'
_space_group_IT_number 139
_space_group_name_Hall '-I 4 2'
loop_
_atom_site_label
_atom_site_fract_x
_atom_site_fract_y
_atom_site_fract_z
Pm1 0.0000 0.0000 0.0000
Bi1 0.0000 0.0000 0.5000
Bi2 0.0000 0.5000 0.2500
```

The 6 most intense peaks (2θ from 5° to 70°), sorted by position:
| Position (°2θ) | Rel. int. | h k l |
| --- | --- | --- |
| 31.2 | 100 | 1 1 2 |
| 32.2 | 23 | 0 0 4 |
| 38.1 | 30 | 2 0 0 |
| 50.7 | 27 | 2 0 4 |
| 56.8 | 19 | 1 1 6 |
| 64.6 | 26 | 3 1 2 |